[1]
AcPu2AlP4: theoretical PXRD pattern (copper Kα), based on DFT lattice parameters and positions (PBE).
Kinematic intensities with the Lorentz-polarization factor, no thermal factor.

Cell and atoms:
Cell: 7.101 7.101 13.525 Å, 90.00 90.00 146.76°
Fractional positions:
Ac 0.115 0.885 0.750
Ac 0.885 0.115 0.250
Pu 0.370 0.630 0.555
Pu 0.370 0.630 0.945
Pu 0.630 0.370 0.055
Pu 0.630 0.370 0.445
Al 0.153 0.847 0.250
Al 0.847 0.153 0.750
P 0.000 0.000 0.000
P 0.000 0.000 0.500
P 0.264 0.736 0.117
P 0.264 0.736 0.383
P 0.443 0.557 0.750
P 0.557 0.443 0.250
P 0.736 0.264 0.617
P 0.736 0.264 0.883

Top 10 peaks for 2θ = 10–90°, in order of rising 2θ:
2θ (°), intensity
23.67, 1000
23.79, 264
26.19, 446
26.41, 787
30.27, 452
32.41, 656
40.61, 401
42.14, 258
44.95, 260
51.12, 269

---

[2]
CsRbZnPO: theoretical PXRD pattern (copper Kα), based on DFT lattice parameters and positions (PBE).
Kinematic intensities with the Lorentz-polarization factor, no thermal factor.

Cell and atoms:
Cell: 5.235 4.240 7.511 Å, 90.00 110.41 90.00°
Fractional positions:
Cs 0.000 0.000 0.000
Rb 0.703 0.500 0.409
Zn 0.312 0.000 0.628
P 0.391 0.500 0.782
O 0.504 0.500 0.013

Top 10 peaks for 2θ = 10–90°, in order of rising 2θ:
2θ (°), intensity
24.51, 322
25.49, 973
27.81, 1000
33.08, 253
33.22, 406
34.26, 357
42.62, 340
44.11, 173
48.36, 170
50.35, 296

---

[3]
KRb12Au5: theoretical PXRD pattern (copper Kα), based on DFT lattice parameters and positions (PBE).
Kinematic intensities with the Lorentz-polarization factor, no thermal factor.

Cell and atoms:
Cell: 10.943 10.943 10.943 Å, 113.26 109.76 105.48°
Fractional positions:
K 0.000 0.000 0.000
Rb 0.112 0.304 0.807
Rb 0.179 0.501 0.323
Rb 0.179 0.856 0.677
Rb 0.330 0.204 0.534
Rb 0.330 0.796 0.126
Rb 0.497 0.304 0.193
Rb 0.503 0.696 0.807
Rb 0.670 0.204 0.874
Rb 0.670 0.796 0.466
Rb 0.821 0.144 0.323
Rb 0.821 0.499 0.677
Rb 0.888 0.696 0.193
Au 0.118 0.500 0.618
Au 0.391 0.891 0.500
Au 0.500 0.500 0.000
Au 0.609 0.109 0.500
Au 0.882 0.500 0.382

Top 10 peaks for 2θ = 10–90°, in order of rising 2θ:
2θ (°), intensity
10.17, 1000
13.36, 335
14.72, 629
24.48, 760
26.00, 545
26.20, 624
26.76, 821
30.09, 446
34.65, 421
35.31, 346

---

[4]
CrTePb2: theoretical PXRD pattern (copper Kα), based on DFT lattice parameters and positions (PBE).
Kinematic intensities with the Lorentz-polarization factor, no thermal factor.

Cell and atoms:
Cell: 9.598 9.598 9.598 Å, 22.48 22.48 22.48°
Fractional positions:
Cr 0.000 0.000 0.000
Te 0.721 0.721 0.721
Pb 0.257 0.257 0.257
Pb 0.498 0.498 0.498

Top 10 peaks for 2θ = 10–90°, in order of rising 2θ:
2θ (°), intensity
27.72, 161
28.64, 215
30.39, 1000
31.89, 296
37.80, 404
48.68, 321
50.83, 166
57.45, 193
58.47, 158
63.23, 171

---

- Which formula does entry 2 have?
  CsRbZnPO